Entry 1:
Calculated PXRD pattern of RbZnBrCl2 for Cu Ka, from a structure optimized by DFT (PBE).

Cell and atoms:
abc: 7.584 5.872 8.320
angles: 90.00 106.87 90.00
Space group P2_1/m (No. 11)
Unique sites:
Rb: 0.198 0.250 0.323 [2 per cell]
Zn: 0.419 0.250 0.847 [2 per cell]
Br: 0.093 0.250 0.732 [2 per cell]
Cl: 0.417 0.750 0.336 [2 per cell]
Cl: 0.447 0.750 0.874 [2 per cell]

The 10 most intense peaks (2θ = 10–90°), sorted by position:
4.725 Å, 2θ 18.78, I 462, hkl 1 0 1; 4.565 Å, 2θ 19.45, I 1000, hkl 1 1 0; 4.016 Å, 2θ 22.13, I 575, hkl 1 0 -2; 3.981 Å, 2θ 22.33, I 650, hkl 0 0 2; 3.087 Å, 2θ 28.92, I 324, hkl 2 1 0; 2.936 Å, 2θ 30.45, I 941, hkl 0 2 0; 2.796 Å, 2θ 32.01, I 491, hkl 2 1 -2; 2.762 Å, 2θ 32.41, I 291, hkl 1 0 -3; 2.665 Å, 2θ 33.63, I 562, hkl 2 1 1; 2.363 Å, 2θ 38.09, I 357, hkl 0 2 2

Entry 2:
Calculated PXRD pattern of CaNd6Co2 for Cu Ka, from a structure optimized by DFT (PBE).

Cell and atoms:
abc: 9.743 10.261 10.672
angles: 90.00 90.00 90.00
Space group Immm (No. 71)
Unique sites:
Ca: 0.000 0.000 0.000 [2 per cell]
Ca: 0.000 0.500 0.000 [2 per cell]
Nd: 0.000 0.236 0.216 [8 per cell]
Nd: 0.177 0.181 0.500 [8 per cell]
Nd: 0.209 0.500 0.318 [8 per cell]
Co: 0.000 0.000 0.290 [4 per cell]
Co: 0.000 0.386 0.500 [4 per cell]

The 10 most intense peaks (2θ = 10–90°), sorted by position:
3.533 Å, 2θ 25.21, I 262, hkl 2 2 0; 3.361 Å, 2θ 26.52, I 255, hkl 0 1 3; 3.107 Å, 2θ 28.73, I 309, hkl 3 0 1; 2.946 Å, 2θ 30.34, I 1000, hkl 2 2 2; 2.800 Å, 2θ 31.96, I 486, hkl 1 2 3; 2.766 Å, 2θ 32.36, I 447, hkl 2 1 3; 2.708 Å, 2θ 33.08, I 317, hkl 2 3 1; 2.678 Å, 2θ 33.46, I 384, hkl 3 1 2; 2.312 Å, 2θ 38.95, I 304, hkl 0 4 2; 1.622 Å, 2θ 56.76, I 324, hkl 6 0 0

Entry 3:
Calculated PXRD pattern of Tm2TeO6 for Cu Ka, from a structure optimized by DFT (PBE).

Cell and atoms:
abc: 5.480 5.517 8.864
angles: 90.00 90.00 90.00
Space group Pnnm (No. 58)
Unique sites:
Tm: 0.000 0.000 0.203 [4 per cell]
Te: 0.000 0.500 0.000 [2 per cell]
O: 0.175 0.197 0.000 [4 per cell]
O: 0.203 0.646 0.158 [8 per cell]

The 10 most intense peaks (2θ = 10–90°), sorted by position:
4.662 Å, 2θ 19.04, I 666, hkl 1 0 1; 3.888 Å, 2θ 22.87, I 275, hkl 1 1 0; 2.923 Å, 2θ 30.59, I 1000, hkl 1 1 2; 2.759 Å, 2θ 32.45, I 238, hkl 0 2 0; 2.740 Å, 2θ 32.68, I 199, hkl 2 0 0; 2.604 Å, 2θ 34.44, I 303, hkl 0 1 3; 1.944 Å, 2θ 46.73, I 238, hkl 2 2 0; 1.888 Å, 2θ 48.21, I 320, hkl 2 1 3; 1.623 Å, 2θ 56.74, I 200, hkl 1 3 2; 1.615 Å, 2θ 57.03, I 199, hkl 3 1 2

Entry 4:
Calculated PXRD pattern of Pa5Hg3O16 for Cu Ka, from a structure optimized by DFT (PBE).

Cell and atoms:
abc: 12.096 7.050 10.285
angles: 90.00 91.81 90.00
Space group Cm (No. 8)
Unique sites:
Pa: 0.000 0.000 0.000 [2 per cell]
Pa: 0.019 0.500 0.786 [2 per cell]
Pa: 0.171 0.000 0.278 [2 per cell]
Pa: 0.425 0.252 0.502 [4 per cell]
Hg: 0.167 0.500 0.359 [2 per cell]
Hg: 0.254 0.248 0.991 [4 per cell]
O: 0.014 0.000 0.411 [2 per cell]
O: 0.053 0.287 0.640 [4 per cell]
O: 0.077 0.182 0.156 [4 per cell]
O: 0.159 0.000 0.907 [2 per cell]
O: 0.178 0.500 0.885 [2 per cell]
O: 0.265 0.236 0.381 [4 per cell]
O: 0.293 0.000 0.130 [2 per cell]
O: 0.338 0.500 0.086 [2 per cell]
O: 0.361 0.500 0.588 [2 per cell]
O: 0.375 0.000 0.619 [2 per cell]
O: 0.455 0.237 0.895 [4 per cell]
O: 0.488 0.000 0.396 [2 per cell]

The 10 most intense peaks (2θ = 10–90°), sorted by position:
5.281 Å, 2θ 16.79, I 685, hkl 2 0 -1; 5.140 Å, 2θ 17.25, I 845, hkl 0 0 2; 3.978 Å, 2θ 22.35, I 319, hkl 2 0 -2; 3.045 Å, 2θ 29.33, I 328, hkl 2 2 0; 2.935 Å, 2θ 30.46, I 865, hkl 2 2 -1; 2.927 Å, 2θ 30.54, I 402, hkl 4 0 -1; 2.907 Å, 2θ 30.76, I 1000, hkl 0 2 2; 2.875 Å, 2θ 31.11, I 327, hkl 4 0 1; 1.928 Å, 2θ 47.13, I 318, hkl 4 2 -3; 1.749 Å, 2θ 52.29, I 352, hkl 6 2 0

Entry 5:
Calculated PXRD pattern of Y4Er6Tm19 for Cu Ka, from a structure optimized by DFT (PBE).

Cell and atoms:
abc: 12.339 12.339 12.339
angles: 90.00 90.00 90.00
Space group I23 (No. 197)
Unique sites:
Y: 0.178 0.178 0.822 [8 per cell]
Er: 0.000 0.370 0.500 [12 per cell]
Tm: 0.000 0.000 0.000 [2 per cell]
Tm: 0.000 0.000 0.264 [12 per cell]
Tm: 0.064 0.261 0.274 [24 per cell]

The 10 most intense peaks (2θ = 10–90°), sorted by position:
3.298 Å, 2θ 27.04, I 748, hkl 3 1 2; 3.085 Å, 2θ 28.95, I 888, hkl 4 0 0; 2.908 Å, 2θ 30.74, I 1000, hkl 4 1 1; 2.519 Å, 2θ 35.65, I 625, hkl 4 2 2; 2.420 Å, 2θ 37.16, I 969, hkl 4 1 3; 2.116 Å, 2θ 42.73, I 252, hkl 4 3 3; 1.904 Å, 2θ 47.77, I 258, hkl 5 4 1; 1.679 Å, 2θ 54.66, I 275, hkl 6 3 3; 1.519 Å, 2θ 61.01, I 388, hkl 7 1 4; 1.434 Å, 2θ 65.02, I 233, hkl 7 3 4

Entry 6:
Calculated PXRD pattern of BeTl2B for Cu Ka, from a structure optimized by DFT (PBE).

Cell and atoms:
abc: 6.333 6.333 8.364
angles: 90.00 90.00 90.00
Space group I-42d (No. 122)
Unique sites:
Be: 0.000 0.000 0.000 [4 per cell]
Tl: 0.227 0.250 0.625 [8 per cell]
B: 0.000 0.000 0.500 [4 per cell]

The 10 most intense peaks (2θ = 10–90°), sorted by position:
3.167 Å, 2θ 28.18, I 494, hkl 2 0 0; 3.057 Å, 2θ 29.22, I 1000, hkl 1 1 2; 2.239 Å, 2θ 40.28, I 215, hkl 2 2 0; 1.806 Å, 2θ 50.53, I 414, hkl 3 1 2; 1.745 Å, 2θ 52.44, I 210, hkl 2 0 4; 1.528 Å, 2θ 60.59, I 116, hkl 2 2 4; 1.406 Å, 2θ 66.51, I 84, hkl 3 3 2; 1.191 Å, 2θ 80.70, I 91, hkl 5 1 2; 1.173 Å, 2θ 82.21, I 100, hkl 4 2 4; 1.144 Å, 2θ 84.72, I 97, hkl 3 1 6

Entry 7:
Calculated PXRD pattern of Nd7TmMg4 for Cu Ka, from a structure optimized by DFT (PBE).

Cell and atoms:
abc: 15.447 5.864 9.824
angles: 90.00 121.09 90.00
Space group C2/m (No. 12)
Unique sites:
Nd: 0.000 0.000 0.000 [2 per cell]
Nd: 0.083 0.500 0.426 [4 per cell]
Nd: 0.196 0.500 0.878 [4 per cell]
Nd: 0.248 0.000 0.714 [4 per cell]
Tm: 0.000 0.500 0.000 [2 per cell]
Mg: 0.038 0.000 0.693 [4 per cell]
Mg: 0.174 0.000 0.345 [4 per cell]

The 10 most intense peaks (2θ = 10–90°), sorted by position:
5.361 Å, 2θ 16.54, I 271, hkl 1 1 0; 3.822 Å, 2θ 23.27, I 316, hkl 4 0 -1; 3.054 Å, 2θ 29.25, I 372, hkl 4 0 -3; 3.017 Å, 2θ 29.61, I 401, hkl 1 1 2; 2.931 Å, 2θ 30.50, I 1000, hkl 0 2 0; 2.838 Å, 2θ 31.52, I 451, hkl 3 1 -3; 2.676 Å, 2θ 33.49, I 503, hkl 5 1 -1; 2.326 Å, 2θ 38.71, I 169, hkl 4 2 -1; 2.115 Å, 2θ 42.76, I 268, hkl 4 2 -3; 2.072 Å, 2θ 43.68, I 293, hkl 2 2 2

Entry 8:
Calculated PXRD pattern of Cs7K3Rb4 for Cu Ka, from a structure optimized by DFT (PBE).

Cell and atoms:
abc: 24.696 8.184 17.403
angles: 90.00 128.87 90.00
Space group C2/m (No. 12)
Unique sites:
Cs: 0.000 0.000 0.000 [2 per cell]
Cs: 0.074 0.000 0.790 [4 per cell]
Cs: 0.148 0.500 0.083 [4 per cell]
Cs: 0.220 0.000 0.368 [4 per cell]
K: 0.000 0.500 0.500 [2 per cell]
K: 0.064 0.500 0.286 [4 per cell]
Rb: 0.130 0.000 0.561 [4 per cell]
Rb: 0.204 0.500 0.843 [4 per cell]

The 10 most intense peaks (2θ = 10–90°), sorted by position:
4.107 Å, 2θ 21.64, I 1000, hkl 5 1 -3; 4.092 Å, 2θ 21.72, I 202, hkl 0 2 0; 2.913 Å, 2θ 30.69, I 78, hkl 8 0 -2; 2.897 Å, 2θ 30.87, I 165, hkl 2 2 -4; 2.371 Å, 2θ 37.95, I 304, hkl 7 1 -7; 2.366 Å, 2θ 38.04, I 180, hkl 5 3 -3; 2.052 Å, 2θ 44.13, I 85, hkl 10 2 -6; 1.832 Å, 2θ 49.78, I 82, hkl 2 4 -4; 1.553 Å, 2θ 59.51, I 84, hkl 15 1 -9; 1.550 Å, 2θ 59.63, I 107, hkl 10 4 -6